Structure and calculated X-ray powder pattern of SmAl5Pd3 (the GGA-PBE geometry in Alexandria; Cu Kα (weighted mean of Kα1 and Kα2)).

Structure:
```
18
Lattice="2.0397 -6.4485 0.0000 2.0397 6.4485 0.0000 0.0000 0.0000 12.5977" Properties=species:S:1:pos:R:3 pbc="T T T"
Sm 2.0397 4.3796 9.4483
Sm 2.0397 -4.3796 3.1494
Al 0.0000 0.0000 0.0000
Al 0.0000 0.0000 6.2988
Al 2.0397 3.8569 0.7768
Al 2.0397 3.8569 5.5220
Al 2.0397 0.7852 8.1722
Al 2.0397 0.7852 10.7243
Al 2.0397 -0.7852 1.8734
Al 2.0397 -0.7852 4.4255
Al 2.0397 -3.8569 7.0757
Al 2.0397 -3.8569 11.8209
Pd 2.0397 4.7633 3.1494
Pd 2.0397 1.4112 0.5869
Pd 2.0397 1.4112 5.7120
Pd 2.0397 -1.4112 6.8857
Pd 2.0397 -1.4112 12.0108
Pd 2.0397 -4.7633 9.4483
```

Principal peaks in the range 2θ = 5–70°, low angle first:
| 2θ (°) | Rel. int. |
| --- | --- |
| 26.94 | 98 |
| 27.67 | 50 |
| 28.34 | 40 |
| 31.35 | 43 |
| 33.46 | 100 |
| 41.42 | 23 |
| 43.95 | 27 |
| 44.42 | 41 |
| 47.39 | 25 |
| 53.52 | 30 |